# Ac8Bi4Te3P
Computed XRD peak list, copper Kα. Input: a GGA-PBE-relaxed structure.
Peak positions follow from Bragg's law for the DFT cell and can differ from measured ones.

The 10 most intense peaks (2θ = 15–90°), low angle first:
2theta  intensity
26.4  100
37.6  40
37.8  39
46.5  22
54.4  14
61.3  19
61.6  19
68.0  14
86.2  7
86.5  7

Crystal structure
Lattice parameters (Å, degrees): 9.5756 9.5756 23.2509 90.00 90.00 120.00
Space group R-3m (No. 166, hexagonal axes)
Asymmetric unit:
Ac 0.0000 0.0000 0.2493 [6 per cell]
Ac 0.0155 0.5077 0.7469 [18 per cell]
Bi 0.0000 0.0000 0.5000 [3 per cell]
Bi 0.0000 0.5000 0.5000 [9 per cell]
Te 0.0000 0.5000 0.0000 [9 per cell]
P 0.0000 0.0000 0.0000 [3 per cell]